Record 1
Calculated PXRD pattern of Tb4Sc5 for Cu Kα, 1.54184 Å, from a PBE-relaxed structure.

Atomic structure:
```
9
Lattice="-5.0764 5.0764 2.4139 5.0764 -5.0764 2.4139 5.0764 5.0764 -2.4139" Properties=species:S:1:pos:R:3 pbc="T T T"
Tb 3.3093 0.0000 0.0000
Tb 6.8436 0.0000 0.0000
Tb 0.0000 3.3093 0.0000
Tb 0.0000 6.8436 0.0000
Sc 0.0000 0.0000 0.0000
Sc 3.4205 3.4205 0.0000
Sc 1.6560 -1.6560 2.4139
Sc -1.6560 1.6560 2.4139
Sc 1.6560 1.6560 2.4139
```

Top 6 peaks for 2θ from 10° to 90°, in order of rising 2θ:
2θ/deg  d/Å  I (rel.)
12.33  7.179  24
26.96  3.308  25
32.30  2.771  100
37.59  2.393  33
53.95  1.699  22
64.53  1.444  25

=====

Record 2
Calculated PXRD pattern of BaHg3Pd for Cu Kα, 1.54184 Å, from a PBE-relaxed structure.

Atomic structure:
```
10
Lattice="-3.6957 5.3172 3.8278 3.6957 -5.3172 3.8278 3.6957 5.3172 -3.8278" Properties=species:S:1:pos:R:3 pbc="T T T"
Ba 0.0000 2.6586 0.2342
Ba 3.6957 2.6586 3.5936
Hg 3.6957 2.6586 -0.1866
Hg 1.8478 5.1693 -1.9139
Hg 1.8478 -0.1479 1.9139
Hg -1.8478 5.4652 1.9139
Hg 1.8478 5.4652 1.9139
Hg 0.0000 2.6586 4.0144
Pd 3.6957 0.0000 0.0000
Pd 0.0000 0.0000 3.8278
```

Top 6 peaks for 2θ from 10° to 90°, in order of rising 2θ:
2θ/deg  d/Å  I (rel.)
16.67  5.317  25
28.74  3.107  53
29.43  3.035  54
33.71  2.659  100
48.42  1.880  46
80.84  1.189  18